This entry pairs a crystal structure of In5Se6 with its simulated X-ray diffraction stick pattern. Radiation: Cu Kα (weighted mean of Kα1 and Kα2). Structure: a structure optimized by DFT (GGA-PBE).
Neutral-atom scattering factors, no anomalous dispersion.

Cell and atoms:
a b c (Å): 7.058 12.194 7.204
angles (deg): 90.00 109.48 90.00
Space group C2/m (No. 12)
Unique sites:
In 0.000 0.000 0.000 (multiplicity 2)
In 0.000 0.165 0.500 (multiplicity 4)
In 0.000 0.328 0.000 (multiplicity 4)
Se 0.246 0.167 0.237 (multiplicity 8)
Se 0.247 0.500 0.230 (multiplicity 4)

Most intense lines, 2θ = 5–70°, by intensity:
Position (°2θ)	d/Å	I/Imax	(hkl)
30.92	2.892	100	1 3 1
44.52	2.035	54	3 3 -1
30.72	2.911	51	2 0 -2
43.79	2.067	37	1 3 -3
55.11	1.666	19	2 6 -2
44.00	2.058	18	2 0 2